(1)
Theoretical X-ray powder pattern
Compound: MnFe3Co2P6O24
Radiation: Cu Kα (weighted mean of Kα1 and Kα2)
Structure: the PBE+U geometry in the Materials Project
Intensities are scaled so that the largest is 100.

Most intense lines, 2θ from 5° to 70°, by angle:
d_spacing, I (rel.)
4.310, 95
3.639, 100
2.667, 73
2.489, 42
1.890, 33
1.819, 28
1.629, 25
1.469, 22

Atomic structure:
a b c (Å): 8.4179 8.4179 8.4179
angles (deg): 61.60 61.60 61.60
Fractional positions:
1 Mn 0.0000 0.0000 0.0000
2 Fe 0.2145 0.2145 0.2145
3 Fe 0.5041 0.5041 0.5041
4 Fe 0.7149 0.7149 0.7149
5 Co 0.3592 0.3592 0.3592
6 Co 0.8570 0.8570 0.8570
7 P 0.1101 0.8148 0.3982
8 P 0.3128 0.6117 0.9071
9 P 0.3982 0.1101 0.8148
10 P 0.6117 0.9071 0.3128
11 P 0.8148 0.3982 0.1101
12 P 0.9071 0.3128 0.6117
13 O 0.0425 0.8567 0.2372
14 O 0.1079 0.2944 0.4558
15 O 0.1098 0.7734 0.9203
16 O 0.1843 0.9675 0.3569
17 O 0.2372 0.0425 0.8567
18 O 0.2658 0.6125 0.4137
19 O 0.2944 0.4558 0.1079
20 O 0.3485 0.5461 0.7492
21 O 0.3569 0.1843 0.9675
22 O 0.4137 0.2658 0.6125
23 O 0.4558 0.1079 0.2944
24 O 0.4681 0.6827 0.8652
25 O 0.5461 0.7492 0.3485
26 O 0.5991 0.9522 0.8020
27 O 0.6125 0.4137 0.2658
28 O 0.6827 0.8652 0.4681
29 O 0.7492 0.3485 0.5461
30 O 0.7734 0.9203 0.1098
31 O 0.8020 0.5991 0.9522
32 O 0.8567 0.2372 0.0425
33 O 0.8652 0.4681 0.6827
34 O 0.9203 0.1098 0.7734
35 O 0.9522 0.8020 0.5991
36 O 0.9675 0.3569 0.1843

(2)
Theoretical X-ray powder pattern
Compound: LiV6O7F5
Radiation: Cu Kα (weighted mean of Kα1 and Kα2)
Structure: the PBE+U geometry in the Materials Project
Intensities are scaled so that the largest is 100.

Most intense lines, 2θ from 5° to 70°, by angle:
d_spacing, I (rel.)
3.505, 100
3.298, 98
2.605, 47
2.590, 50
1.801, 31
1.786, 32
1.733, 29
1.418, 27

Atomic structure:
a b c (Å): 7.0110 6.5972 9.2645
angles (deg): 90.00 90.51 90.00
Fractional positions:
1 Li 0.2404 0.0000 0.2616
2 Li 0.7596 0.0000 0.7384
3 V 0.0000 0.2299 0.0000
4 V 0.0000 0.7669 0.5000
5 V 0.0045 0.2736 0.6721
6 V 0.0456 0.7578 0.8286
7 V 0.4747 0.2755 0.1726
8 V 0.4800 0.7542 0.6702
9 V 0.5000 0.2611 0.5000
10 V 0.5000 0.7398 0.0000
11 V 0.5200 0.7542 0.3298
12 V 0.5253 0.2755 0.8274
13 V 0.9544 0.7578 0.1714
14 V 0.9955 0.2736 0.3279
15 O 0.0000 0.9371 0.0000
16 O 0.0052 0.9686 0.6646
17 O 0.0118 0.5689 0.6648
18 O 0.1877 0.2523 0.1679
19 O 0.3166 0.7592 0.8374
20 O 0.4874 0.0628 0.3326
21 O 0.4990 0.4645 0.3407
22 O 0.5000 0.4492 0.0000
23 O 0.5010 0.4645 0.6593
24 O 0.5126 0.0628 0.6674
25 O 0.6834 0.7592 0.1626
26 O 0.8123 0.2523 0.8321
27 O 0.9882 0.5689 0.3352
28 O 0.9948 0.9686 0.3354
29 F 0.0000 0.5450 0.0000
30 F 0.1947 0.2648 0.4991
31 F 0.2067 0.2585 0.8370
32 F 0.2991 0.7577 0.1686
33 F 0.3025 0.7686 0.4922
34 F 0.5000 0.0576 0.0000
35 F 0.6975 0.7686 0.5078
36 F 0.7009 0.7577 0.8314
37 F 0.7933 0.2585 0.1630
38 F 0.8053 0.2648 0.5009